# 1
# MgZn
Simulated powder X-ray diffraction pattern, Cu Kα X-rays. Input: a structure optimized by DFT (GGA-PBE).

Cell lengths 4.664, 11.511, 5.323 Å; angles 90.00, 90.00, 90.00 degrees
Space group Pmmn (No. 59, origin choice 2)
One atom of each set of equivalent atoms:
Mg 0.250 0.098 0.107 [4 per cell]
Mg 0.250 0.250 0.615 [2 per cell]
Mg 0.250 0.750 0.745 [2 per cell]
Zn 0.250 0.000 0.634 [4 per cell]
Zn 0.250 0.636 0.230 [4 per cell]

Most intense lines, 2θ = 5–70°, low angle first:
15.39°, rel. 23, (0 2 0)
18.36°, rel. 24, (0 1 1)
20.55°, rel. 18, (1 1 0)
29.83°, rel. 12, (1 2 1)
35.46°, rel. 20, (0 4 1)
38.61°, rel. 45, (2 0 0)
38.96°, rel. 37, (1 0 2)
39.77°, rel. 21, (1 1 2)
40.55°, rel. 100, (1 4 1)
42.13°, rel. 15, (1 2 2)



# 2
# NbAuSO
Simulated powder X-ray diffraction pattern, Cu Kα X-rays. Input: a structure optimized by DFT (GGA-PBE).

Cell lengths 8.374, 7.513, 4.810 Å; angles 90.00, 90.00, 90.00 degrees
Space group Pbcm (No. 57)
One atom of each set of equivalent atoms:
Nb 0.214 0.045 0.250 [4 per cell]
Au 0.252 0.675 0.250 [4 per cell]
S 0.115 0.123 0.750 [4 per cell]
O 0.414 0.101 0.250 [4 per cell]

Most intense lines, 2θ = 5–70°, low angle first:
15.85°, rel. 82, (1 1 0)
21.22°, rel. 100, (2 0 0)
30.19°, rel. 43, (0 2 1)
34.27°, rel. 28, (3 1 0)
37.19°, rel. 54, (2 2 1)
37.41°, rel. 48, (0 0 2)
42.08°, rel. 69, (1 3 1)
43.39°, rel. 32, (2 0 2)
52.66°, rel. 26, (3 3 1)
53.62°, rel. 21, (4 2 1)



# 3
# NaLiNb2S4
Simulated powder X-ray diffraction pattern, Cu Kα X-rays. Input: a structure optimized by DFT (GGA-PBE).

Cell lengths 3.3986, 3.3986, 15.9471 Å; angles 90.00, 90.00, 120.00 degrees
Space group P-3m1 (No. 164)
One atom of each set of equivalent atoms:
Na 0.0000 0.0000 0.0000 [1 per cell]
Li 0.0000 0.0000 0.5000 [1 per cell]
Nb 0.3333 0.6667 0.2605 [2 per cell]
S 0.0000 0.0000 0.1638 [2 per cell]
S 0.0000 0.0000 0.3580 [2 per cell]

Most intense lines, 2θ = 5–70°, low angle first:
11.10°, rel. 100, (0 0 2)
30.89°, rel. 33, (0 1 1)
32.43°, rel. 7, (1 0 2)
34.84°, rel. 23, (0 1 3)
38.00°, rel. 18, (1 0 4)
41.76°, rel. 17, (0 1 5)
46.01°, rel. 20, (1 0 6)
50.67°, rel. 7, (0 1 7)
53.96°, rel. 14, (1 1 0)
55.27°, rel. 9, (1 1 2)